For Pm4MgPt2, a GGA-PBE-relaxed structure gives the simulated X-ray diffraction stick pattern in this record (Cu Kα).

a b c (Å): 6.968 7.081 9.126
angles (deg): 108.07 107.58 101.75
Element x y z (fractional)
Pm 0.000 0.000 0.000
Pm 0.011 0.512 0.024
Pm 0.134 0.273 0.455
Pm 0.435 0.228 0.861
Pm 0.557 0.816 0.582
Pm 0.587 0.878 0.163
Pm 0.691 0.330 0.568
Pm 0.988 0.746 0.443
Mg 0.233 0.671 0.781
Mg 0.464 0.406 0.243
Pt 0.281 0.943 0.313
Pt 0.628 0.622 0.841
Pt 0.799 0.293 0.183
Pt 0.980 0.144 0.711

Principal peaks in the range 2θ from 15° to 90°, by angle:
4.500 Å, 2θ = 19.7°, intensity 63, hkl -1 1 1
3.219 Å, 2θ = 27.7°, intensity 55, hkl -1 1 2
2.830 Å, 2θ = 31.6°, intensity 77, hkl -2 1 2
2.617 Å, 2θ = 34.3°, intensity 100, hkl 0 2 1
2.215 Å, 2θ = 40.7°, intensity 57, hkl 2 2 -2
2.163 Å, 2θ = 41.8°, intensity 60, hkl 1 0 3